# 1
Cu5Ag4: calculated X-ray powder pattern (Cu Ka), based on a cell relaxed with GGA-PBE.

Top 6 peaks for 2θ from 10° to 90°, in order of rising 2θ:
h k l  2theta  Rel. int.
1 0 9  40.3  100
1 1 0  45.8  37
0 0 18  48.9  11
2 0 0  66.7  11
1 1 18  69.3  14
2 1 9  80.9  23

Crystal structure
```
data_Cu5Ag4
_cell_length_a 2.803
_cell_length_b 2.803
_cell_length_c 33.495
_cell_angle_alpha 90.00
_cell_angle_beta 90.00
_cell_angle_gamma 90.00
_symmetry_space_group_name_H-M 'I 4 m m'
_symmetry_Int_Tables_number 107
_symmetry_space_group_name_Hall 'I 4 -2'
loop_
_atom_site_label
_atom_site_fract_x
_atom_site_fract_y
_atom_site_fract_z
_atom_site_occupancy
Cu1 0.000 0.000 0.000 1
Cu2 0.000 0.000 0.114 1
Cu3 0.000 0.000 0.321 1
Cu4 0.000 0.000 0.660 1
Cu5 0.000 0.000 0.775 1
Ag1 0.000 0.000 0.218 1
Ag2 0.000 0.000 0.444 1
Ag3 0.000 0.000 0.557 1
Ag4 0.000 0.000 0.878 1
```

# 2
Na4ZnO3: calculated X-ray powder pattern (Cu Ka), based on a cell relaxed with GGA-PBE.

Top 6 peaks for 2θ from 10° to 90°, in order of rising 2θ:
h k l  2theta  Rel. int.
0 2 1  19.8  79
1 3 -1  27.5  45
0 0 2  32.1  44
2 0 0  33.1  46
1 5 0  34.0  100
1 5 -2  45.4  58

Crystal structure
```
data_Na4ZnO3
_cell_length_a 5.489
_cell_length_b 15.104
_cell_length_c 5.656
_cell_angle_alpha 90.00
_cell_angle_beta 99.55
_cell_angle_gamma 90.00
_symmetry_space_group_name_H-M 'C 1 c 1'
_symmetry_Int_Tables_number 9
_symmetry_space_group_name_Hall 'C -2yc'
loop_
_atom_site_label
_atom_site_fract_x
_atom_site_fract_y
_atom_site_fract_z
_atom_site_occupancy
Na1 0.000 0.002 0.000 1
Na2 0.013 0.415 0.030 1
Na3 0.015 0.188 0.495 1
Na4 0.473 0.314 0.494 1
Zn1 0.454 0.121 0.054 1
O1 0.226 0.088 0.780 1
O2 0.266 0.417 0.719 1
O3 0.320 0.210 0.248 1
```